For Na2AsPt3, the PBE geometry in Alexandria gives the theoretical powder diffraction line list in this record (Cu Ka).
Peak positions follow from Bragg's law for the DFT cell and can differ from measured ones.

Main lines, in order of falling intensity (5 to 70 degrees two-theta):
2θ = 40.4°, intensity 100.0
2θ = 22.1°, intensity 78.7
2θ = 38.2°, intensity 77.4
2θ = 19.9°, intensity 77.0
2θ = 48.4°, intensity 51.2
2θ = 39.5°, intensity 45.2

Structure:
Cell lengths 5.5444, 5.5444, 12.0883 Å; angles 90.00, 90.00, 120.00 degrees
Space group R-3m (No. 166, hexagonal axes)
Symmetry-distinct sites (fractional):
Na1 0.0000 0.0000 0.1212 x6
As1 0.0000 0.0000 0.5000 x3
Pt1 0.0000 0.5000 0.0000 x9